(1)
Theoretical PXRD pattern of Ti2CoNi for Cu Kα (weighted mean of Kα1 and Kα2), from a structure optimized by DFT (PBE).
Peak positions follow from Bragg's law for the DFT cell and can differ from measured ones.

Largest 6 diffraction maxima, sorted by position, 15° ≤ 2θ ≤ 90°:
- d 2.990, 2θ = 29.89°, intensity 3
- d 2.114, 2θ = 42.77°, intensity 100
- d 1.726, 2θ = 53.05°, intensity 1
- d 1.495, 2θ = 62.09°, intensity 15
- d 1.337, 2θ = 70.42°, intensity 1
- d 1.221, 2θ = 78.34°, intensity 29

Cell: 2.989 2.989 5.981 Å, 90.00 90.00 90.00°
Atoms (fractional coordinates):
Ti: 0.000 0.000 0.248
Ti: 0.000 0.000 0.752
Co: 0.500 0.500 0.000
Ni: 0.500 0.500 0.500


(2)
Theoretical PXRD pattern of AsS for Cu Kα (weighted mean of Kα1 and Kα2), from a structure optimized by DFT (PBE).
Peak positions follow from Bragg's law for the DFT cell and can differ from measured ones.

Largest 12 diffraction maxima, sorted by position, 15° ≤ 2θ ≤ 90°:
- d 5.321, 2θ = 16.66°, intensity 85
- d 5.240, 2θ = 16.92°, intensity 53
- d 4.201, 2θ = 21.15°, intensity 62
- d 3.384, 2θ = 26.34°, intensity 40
- d 3.292, 2θ = 27.09°, intensity 72
- d 3.194, 2θ = 27.93°, intensity 90
- d 3.068, 2θ = 29.11°, intensity 100
- d 3.020, 2θ = 29.58°, intensity 69
- d 2.711, 2θ = 33.04°, intensity 39
- d 2.390, 2θ = 37.63°, intensity 41
- d 1.932, 2θ = 47.03°, intensity 42
- d 1.745, 2θ = 52.43°, intensity 71

Cell: 7.277 7.277 9.548 Å, 99.07 99.07 85.03°
Atoms (fractional coordinates):
As: 0.208 0.786 0.566
As: 0.214 0.792 0.934
As: 0.249 0.447 0.637
As: 0.447 0.249 0.137
As: 0.553 0.751 0.863
As: 0.751 0.553 0.363
As: 0.786 0.208 0.066
As: 0.792 0.214 0.434
S: 0.067 0.933 0.750
S: 0.118 0.505 0.839
S: 0.454 0.546 0.250
S: 0.495 0.882 0.661
S: 0.505 0.118 0.339
S: 0.546 0.454 0.750
S: 0.882 0.495 0.161
S: 0.933 0.067 0.250